Computed powder XRD pattern
Compound: Ce4S3O4
Radiation: CuKα
Structure: a structure optimized by DFT (PBE)

Crystal structure
```
data_Ce4S3O4
_space_group_name_H-M_alt 'P b a m'
_space_group_IT_number 55
_space_group_name_Hall '-P 2 2ab'
_cell_length_a 6.842
_cell_length_b 14.777
_cell_length_c 3.952
_cell_angle_alpha 90.00
_cell_angle_beta 90.00
_cell_angle_gamma 90.00
loop_
_atom_site_label
_atom_site_type_symbol
_atom_site_fract_x
_atom_site_fract_y
_atom_site_fract_z
Ce1 Ce 0.208 0.157 0.000
Ce2 Ce 0.219 0.922 0.500
S1 S 0.000 0.500 0.000
S2 S 0.002 0.280 0.500
O1 O 0.117 0.877 0.000
O2 O 0.141 0.073 0.500
```

Main lines, in order of falling intensity (10 to 80 degrees two-theta):
two_theta	I/Imax	index
28.8	100	1 2 1
27.4	54	1 4 0
43.3	34	0 6 1
36.8	31	2 2 1
51.2	30	1 8 0
26.0	27	2 0 0
47.7	22	3 2 1
45.9	19	0 0 2
35.8	18	2 4 0
54.3	16	1 4 2
24.1	14	0 4 0
71.2	13	1 8 2

***

Computed powder XRD pattern
Compound: CeS3O12
Radiation: CuKα
Structure: a structure optimized by DFT (PBE)

Crystal structure
```
data_CeS3O12
_space_group_name_H-M_alt 'R 3 c'
_space_group_IT_number 161
_space_group_name_Hall 'R 3 -2"c'
_cell_length_a 8.3828
_cell_length_b 8.3828
_cell_length_c 25.1854
_cell_angle_alpha 90.00
_cell_angle_beta 90.00
_cell_angle_gamma 120.00
loop_
_atom_site_label
_atom_site_type_symbol
_atom_site_fract_x
_atom_site_fract_y
_atom_site_fract_z
Ce1 Ce 0.0000 0.0000 0.0000
S1 S 0.0354 0.3413 0.0592
O1 O 0.1390 0.3369 0.0109
O2 O 0.1690 0.4038 0.3817
O3 O 0.1707 0.4342 0.1030
O4 O 0.1921 0.4384 0.7397
```

Main lines, in order of falling intensity (10 to 80 degrees two-theta):
two_theta	I/Imax	index
14.1	100	0 1 2
23.7	33	1 1 3
30.1	31	1 1 6
18.7	30	1 0 4
43.8	21	1 2 8
28.4	18	0 2 4
48.5	17	2 2 6
43.2	15	3 0 6
33.4	13	1 2 2
21.2	12	0 0 6
35.7	12	2 1 4
37.2	11	3 0 0

***

Computed powder XRD pattern
Compound: CeS3O9
Radiation: CuKα
Structure: a structure optimized by DFT (PBE)

Crystal structure
```
data_CeS3O9
_space_group_name_H-M_alt 'C 1 c 1'
_space_group_IT_number 9
_space_group_name_Hall 'C -2yc'
_cell_length_a 14.403
_cell_length_b 8.618
_cell_length_c 9.789
_cell_angle_alpha 90.00
_cell_angle_beta 127.44
_cell_angle_gamma 90.00
loop_
_atom_site_label
_atom_site_type_symbol
_atom_site_fract_x
_atom_site_fract_y
_atom_site_fract_z
Ce1 Ce 0.000 0.246 0.000
S1 S 0.131 0.091 0.794
S2 S 0.244 0.479 0.771
S3 S 0.334 0.044 0.631
O1 O 0.080 0.119 0.890
O2 O 0.095 0.076 0.225
O3 O 0.143 0.411 0.137
O4 O 0.223 0.428 0.890
O5 O 0.261 0.363 0.682
O6 O 0.270 0.078 0.942
O7 O 0.350 0.408 0.365
O8 O 0.396 0.080 0.266
O9 O 0.420 0.126 0.620
```

Main lines, in order of falling intensity (10 to 80 degrees two-theta):
two_theta	I/Imax	index
13.7	100	1 1 -1
20.1	87	1 1 1
25.9	46	2 2 0
22.9	34	3 1 -2
21.4	32	3 1 -1
31.0	27	0 2 2
18.2	22	2 0 -2
29.4	21	3 1 -3
27.6	19	2 2 -2
25.0	18	4 0 -2
25.6	15	3 1 0
45.1	14	3 3 1